Starting from a cell relaxed with GGA-PBE, the powder XRD pattern of SrAcIN was calculated for Cu Kα (weighted mean of Kα1 and Kα2).
Lines closer than 0.1° are merged.

The 10 most intense peaks (5° ≤ 2θ ≤ 70°), sorted by position:
- (0 0 1), 8.404 Å, 10.53 deg, I 18
- (1 0 1), 3.350 Å, 26.61 deg, I 100
- (0 0 3), 2.801 Å, 31.95 deg, I 18
- (0 1 2), 2.757 Å, 32.48 deg, I 56
- (1 1 0), 2.109 Å, 42.89 deg, I 28
- (1 0 4), 1.821 Å, 50.09 deg, I 18
- (0 2 1), 1.785 Å, 51.19 deg, I 17
- (1 1 3), 1.685 Å, 54.46 deg, I 24
- (2 0 2), 1.675 Å, 54.81 deg, I 13
- (2 1 1), 1.362 Å, 68.94 deg, I 14

```
SrAcIN
1.0
4.2173 0.0000 0.0000
-2.1087 3.6523 0.0000
0.0000 0.0000 8.4037
Sr Ac I N
1 1 1 1
Cartesian
0.0000 0.0000 0.0000
0.0000 2.4349 5.2752
2.1087 1.2174 2.5257
0.0000 0.0000 5.9752
```